For Co, a cell relaxed with GGA-PBE gives the theoretical XRD peak list in this record (Cu Kα, 1.54184 Å).

Largest 10 diffraction maxima, low angle first, 2θ from 15° to 90°:
2theta  Rel. int.  h k l
39.54  24  0 0 2
43.78  25  3 2 1
44.66  98  4 1 0
45.31  43  2 0 2
46.03  32  3 3 0
46.67  78  2 1 2
49.15  100  4 1 1
50.42  46  3 3 1
50.56  42  2 2 2
78.67  22  4 1 3

Crystal structure
a b c (Å): 8.3660 8.3660 4.5582
angles (deg): 90.00 90.00 90.00
Space group P4_2/mnm (No. 136)
Asymmetric unit:
Co1 0.0234 0.3620 0.0000 [8 per cell]
Co2 0.0504 0.2445 0.5000 [8 per cell]
Co3 0.0941 0.0941 0.0000 [4 per cell]
Co4 0.1917 0.8083 0.2490 [8 per cell]

***

For Cr3Co, a cell relaxed with GGA-PBE gives the theoretical XRD peak list in this record (Cu Kα, 1.54184 Å).

Largest 6 diffraction maxima, low angle first, 2θ from 15° to 90°:
2theta  Rel. int.  h k l
44.70  100  1 1 1
45.19  48  2 0 0
64.30  8  0 0 2
65.83  14  2 2 0
82.05  14  2 0 2
83.10  27  3 1 1

Crystal structure
a b c (Å): 4.0126 4.0126 2.8975
angles (deg): 90.00 90.00 90.00
Space group P4/mmm (No. 123)
Asymmetric unit:
Cr1 0.0000 0.0000 0.0000 [1 per cell]
Cr2 0.0000 0.5000 0.5000 [2 per cell]
Co1 0.5000 0.5000 0.0000 [1 per cell]